(1)
Starting from a structure optimized by DFT (GGA-PBE), the X-ray diffraction stick pattern of Na5B8C2 was calculated for λ = 1.5418 Å (Cu Kα).
Peak positions follow from Bragg's law for the DFT cell and can differ from measured ones.

Most intense lines, 10° ≤ 2θ ≤ 90°, sorted by position:
2θ = 33.9°, intensity 155
2θ = 36.1°, intensity 187
2θ = 40.0°, intensity 554
2θ = 41.8°, intensity 1000
2θ = 41.9°, intensity 569
2θ = 62.1°, intensity 199

Structural model:
Unit cell a=11.800 b=11.800 c=10.148 alpha=105.97 beta=105.97 gamma=13.73
Element x y z (fractional)
Na (0.000, 0.000, 0.000)
Na (0.100, 0.100, 0.698)
Na (0.199, 0.199, 0.397)
Na (0.300, 0.300, 0.099)
Na (0.403, 0.403, 0.800)
Na (0.500, 0.500, 0.499)
Na (0.598, 0.598, 0.197)
Na (0.700, 0.700, 0.896)
Na (0.801, 0.801, 0.598)
Na (0.902, 0.902, 0.298)
B (0.021, 0.021, 0.290)
B (0.173, 0.173, 0.094)
B (0.220, 0.220, 0.688)
B (0.283, 0.283, 0.813)
B (0.321, 0.321, 0.387)
B (0.385, 0.385, 0.515)
B (0.416, 0.416, 0.078)
B (0.481, 0.481, 0.209)
B (0.583, 0.583, 0.914)
B (0.612, 0.612, 0.473)
B (0.678, 0.678, 0.604)
B (0.714, 0.714, 0.177)
B (0.777, 0.777, 0.302)
B (0.826, 0.826, 0.898)
B (0.925, 0.925, 0.597)
B (0.992, 0.992, 0.731)
C (0.081, 0.081, 0.411)
C (0.114, 0.114, 0.976)
C (0.522, 0.522, 0.792)
C (0.885, 0.885, 0.014)


(2)
Starting from a structure optimized by DFT (GGA-PBE), the X-ray diffraction stick pattern of Na5B9C was calculated for λ = 1.5418 Å (Cu Kα).
Peak positions follow from Bragg's law for the DFT cell and can differ from measured ones.

Most intense lines, 10° ≤ 2θ ≤ 90°, sorted by position:
2θ = 39.0°, intensity 494
2θ = 39.2°, intensity 485
2θ = 41.4°, intensity 738
2θ = 41.6°, intensity 1000
2θ = 41.7°, intensity 992
2θ = 60.9°, intensity 368

Structural model:
Unit cell a=11.986 b=11.986 c=10.309 alpha=104.93 beta=104.93 gamma=13.46
Element x y z (fractional)
Na (0.000, 0.000, 0.000)
Na (0.100, 0.100, 0.701)
Na (0.200, 0.200, 0.402)
Na (0.300, 0.300, 0.099)
Na (0.399, 0.399, 0.798)
Na (0.500, 0.500, 0.500)
Na (0.601, 0.601, 0.202)
Na (0.700, 0.700, 0.901)
Na (0.800, 0.800, 0.598)
Na (0.900, 0.900, 0.299)
B (0.021, 0.021, 0.293)
B (0.083, 0.083, 0.417)
B (0.123, 0.123, 0.995)
B (0.184, 0.184, 0.118)
B (0.275, 0.275, 0.800)
B (0.312, 0.312, 0.376)
B (0.376, 0.376, 0.503)
B (0.418, 0.418, 0.088)
B (0.480, 0.480, 0.211)
B (0.520, 0.520, 0.789)
B (0.582, 0.582, 0.912)
B (0.624, 0.624, 0.497)
B (0.688, 0.688, 0.624)
B (0.725, 0.725, 0.200)
B (0.816, 0.816, 0.882)
B (0.877, 0.877, 0.005)
B (0.917, 0.917, 0.583)
B (0.979, 0.979, 0.707)
C (0.218, 0.218, 0.685)
C (0.782, 0.782, 0.315)


(3)
Starting from a structure optimized by DFT (GGA-PBE), the X-ray diffraction stick pattern of Na10B17C3 was calculated for λ = 1.5418 Å (Cu Kα).
Peak positions follow from Bragg's law for the DFT cell and can differ from measured ones.

Most intense lines, 10° ≤ 2θ ≤ 90°, sorted by position:
2θ = 35.9°, intensity 192
2θ = 39.5°, intensity 282
2θ = 39.8°, intensity 278
2θ = 41.6°, intensity 1000
2θ = 41.7°, intensity 568
2θ = 61.6°, intensity 202

Structural model:
Unit cell a=11.856 b=11.856 c=10.219 alpha=105.58 beta=105.58 gamma=13.71
Element x y z (fractional)
Na (0.000, 0.000, 0.000)
Na (0.098, 0.098, 0.698)
Na (0.200, 0.200, 0.398)
Na (0.302, 0.302, 0.101)
Na (0.401, 0.401, 0.799)
Na (0.500, 0.500, 0.499)
Na (0.600, 0.600, 0.201)
Na (0.699, 0.699, 0.899)
Na (0.800, 0.800, 0.599)
Na (0.903, 0.903, 0.300)
B (0.083, 0.083, 0.416)
B (0.118, 0.118, 0.989)
B (0.181, 0.181, 0.114)
B (0.214, 0.214, 0.677)
B (0.277, 0.277, 0.803)
B (0.325, 0.325, 0.397)
B (0.425, 0.425, 0.099)
B (0.491, 0.491, 0.233)
B (0.516, 0.516, 0.780)
B (0.579, 0.579, 0.908)
B (0.672, 0.672, 0.594)
B (0.722, 0.722, 0.195)
B (0.785, 0.785, 0.319)
B (0.821, 0.821, 0.889)
B (0.884, 0.884, 0.017)
B (0.913, 0.913, 0.573)
B (0.978, 0.978, 0.703)
C (0.022, 0.022, 0.295)
C (0.383, 0.383, 0.513)
C (0.614, 0.614, 0.478)


(4)
Starting from a structure optimized by DFT (GGA-PBE), the X-ray diffraction stick pattern of Na4B7C was calculated for λ = 1.5418 Å (Cu Kα).
Peak positions follow from Bragg's law for the DFT cell and can differ from measured ones.

Most intense lines, 10° ≤ 2θ ≤ 90°, sorted by position:
2θ = 32.8°, intensity 162
2θ = 38.8°, intensity 521
2θ = 41.3°, intensity 389
2θ = 42.2°, intensity 1000
2θ = 61.0°, intensity 189
2θ = 76.3°, intensity 179

Structural model:
Unit cell a=2.752 b=8.750 c=10.935 alpha=90.00 beta=90.00 gamma=90.00
Element x y z (fractional)
Na (0.250, 0.001, 0.127)
Na (0.250, 0.499, 0.127)
Na (0.250, 0.502, 0.622)
Na (0.250, 0.998, 0.622)
Na (0.750, 0.002, 0.378)
Na (0.750, 0.498, 0.378)
Na (0.750, 0.501, 0.873)
Na (0.750, 0.999, 0.873)
B (0.250, 0.250, 0.311)
B (0.250, 0.250, 0.469)
B (0.250, 0.250, 0.790)
B (0.250, 0.250, 0.946)
B (0.250, 0.750, 0.313)
B (0.250, 0.750, 0.793)
B (0.250, 0.750, 0.950)
B (0.750, 0.250, 0.050)
B (0.750, 0.250, 0.207)
B (0.750, 0.250, 0.687)
B (0.750, 0.750, 0.054)
B (0.750, 0.750, 0.210)
B (0.750, 0.750, 0.531)
B (0.750, 0.750, 0.689)
C (0.250, 0.750, 0.455)
C (0.750, 0.250, 0.545)


(5)
Starting from a structure optimized by DFT (GGA-PBE), the X-ray diffraction stick pattern of Na10B13C7 was calculated for λ = 1.5418 Å (Cu Kα).
Peak positions follow from Bragg's law for the DFT cell and can differ from measured ones.

Most intense lines, 10° ≤ 2θ ≤ 90°, sorted by position:
2θ = 35.4°, intensity 78
2θ = 36.4°, intensity 124
2θ = 41.4°, intensity 360
2θ = 42.3°, intensity 1000
2θ = 64.2°, intensity 122
2θ = 81.1°, intensity 74

Structural model:
Unit cell a=9.018 b=9.018 c=13.279 alpha=113.27 beta=113.27 gamma=18.02
Element x y z (fractional)
Na (0.000, 0.000, 0.000)
Na (0.001, 0.001, 0.496)
Na (0.200, 0.200, 0.399)
Na (0.201, 0.201, 0.899)
Na (0.399, 0.399, 0.799)
Na (0.401, 0.401, 0.299)
Na (0.600, 0.600, 0.200)
Na (0.603, 0.603, 0.695)
Na (0.799, 0.799, 0.598)
Na (0.801, 0.801, 0.101)
B (0.024, 0.024, 0.793)
B (0.162, 0.162, 0.569)
B (0.173, 0.173, 0.096)
B (0.234, 0.234, 0.712)
B (0.242, 0.242, 0.232)
B (0.369, 0.369, 0.987)
B (0.432, 0.432, 0.608)
B (0.564, 0.564, 0.375)
B (0.566, 0.566, 0.880)
B (0.631, 0.631, 0.011)
B (0.774, 0.774, 0.794)
B (0.837, 0.837, 0.421)
B (0.966, 0.966, 0.181)
C (0.031, 0.031, 0.311)
C (0.369, 0.369, 0.482)
C (0.433, 0.433, 0.118)
C (0.630, 0.630, 0.505)
C (0.773, 0.773, 0.294)
C (0.837, 0.837, 0.923)
C (0.964, 0.964, 0.671)


(6)
Starting from a structure optimized by DFT (GGA-PBE), the X-ray diffraction stick pattern of Na4B7C was calculated for λ = 1.5418 Å (Cu Kα).
Peak positions follow from Bragg's law for the DFT cell and can differ from measured ones.

Most intense lines, 10° ≤ 2θ ≤ 90°, sorted by position:
2θ = 35.7°, intensity 170
2θ = 39.5°, intensity 496
2θ = 41.5°, intensity 1000
2θ = 41.6°, intensity 365
2θ = 61.3°, intensity 183
2θ = 76.8°, intensity 172

Structural model:
Unit cell a=2.846 b=10.199 c=10.199 alpha=116.63 beta=90.00 gamma=90.00
Element x y z (fractional)
Na (0.000, 0.125, 0.875)
Na (0.000, 0.375, 0.626)
Na (0.000, 0.626, 0.375)
Na (0.000, 0.875, 0.125)
Na (0.500, 0.122, 0.375)
Na (0.500, 0.375, 0.122)
Na (0.500, 0.627, 0.877)
Na (0.500, 0.877, 0.627)
B (0.000, 0.078, 0.579)
B (0.000, 0.307, 0.307)
B (0.000, 0.422, 0.922)
B (0.000, 0.579, 0.078)
B (0.000, 0.683, 0.683)
B (0.000, 0.851, 0.851)
B (0.000, 0.922, 0.422)
B (0.500, 0.081, 0.081)
B (0.500, 0.171, 0.673)
B (0.500, 0.328, 0.830)
B (0.500, 0.414, 0.414)
B (0.500, 0.575, 0.575)
B (0.500, 0.673, 0.171)
B (0.500, 0.830, 0.328)
C (0.000, 0.160, 0.160)
C (0.500, 0.929, 0.929)


(7)
Starting from a structure optimized by DFT (GGA-PBE), the X-ray diffraction stick pattern of Na10B17C3 was calculated for λ = 1.5418 Å (Cu Kα).
Peak positions follow from Bragg's law for the DFT cell and can differ from measured ones.

Most intense lines, 10° ≤ 2θ ≤ 90°, sorted by position:
2θ = 35.0°, intensity 199
2θ = 41.0°, intensity 1000
2θ = 42.0°, intensity 235
2θ = 62.7°, intensity 182
2θ = 77.7°, intensity 115
2θ = 78.4°, intensity 171

Structural model:
Unit cell a=2.963 b=2.963 c=42.995 alpha=90.00 beta=90.00 gamma=120.00
Element x y z (fractional)
Na (0.000, 0.000, 0.049)
Na (0.000, 0.000, 0.147)
Na (0.000, 0.000, 0.247)
Na (0.000, 0.000, 0.349)
Na (0.000, 0.000, 0.450)
Na (0.000, 0.000, 0.550)
Na (0.000, 0.000, 0.651)
Na (0.000, 0.000, 0.753)
Na (0.000, 0.000, 0.853)
Na (0.000, 0.000, 0.951)
B (0.333, 0.667, 0.098)
B (0.333, 0.667, 0.197)
B (0.333, 0.667, 0.298)
B (0.333, 0.667, 0.399)
B (0.333, 0.667, 0.500)
B (0.333, 0.667, 0.601)
B (0.333, 0.667, 0.702)
B (0.333, 0.667, 0.803)
B (0.333, 0.667, 0.902)
B (0.667, 0.333, 0.000)
B (0.667, 0.333, 0.197)
B (0.667, 0.333, 0.298)
B (0.667, 0.333, 0.399)
B (0.667, 0.333, 0.500)
B (0.667, 0.333, 0.601)
B (0.667, 0.333, 0.702)
B (0.667, 0.333, 0.803)
C (0.333, 0.667, 0.000)
C (0.667, 0.333, 0.098)
C (0.667, 0.333, 0.902)


(8)
Starting from a structure optimized by DFT (GGA-PBE), the X-ray diffraction stick pattern of Na5B9C was calculated for λ = 1.5418 Å (Cu Kα).
Peak positions follow from Bragg's law for the DFT cell and can differ from measured ones.

Most intense lines, 10° ≤ 2θ ≤ 90°, sorted by position:
2θ = 34.6°, intensity 210
2θ = 40.6°, intensity 1000
2θ = 40.9°, intensity 506
2θ = 41.7°, intensity 359
2θ = 62.6°, intensity 175
2θ = 78.0°, intensity 170

Structural model:
Unit cell a=5.120 b=7.937 c=9.159 alpha=75.83 beta=73.78 gamma=71.23
Element x y z (fractional)
Na (0.000, 0.000, 0.000)
Na (0.000, 0.500, 0.500)
Na (0.200, 0.099, 0.500)
Na (0.200, 0.600, 0.000)
Na (0.400, 0.699, 0.500)
Na (0.402, 0.200, 0.001)
Na (0.598, 0.800, 0.999)
Na (0.600, 0.301, 0.500)
Na (0.800, 0.400, 0.000)
Na (0.800, 0.901, 0.500)
B (0.011, 0.367, 0.250)
B (0.020, 0.850, 0.751)
B (0.162, 0.752, 0.250)
B (0.171, 0.268, 0.750)
B (0.236, 0.945, 0.250)
B (0.364, 0.348, 0.250)
B (0.369, 0.845, 0.750)
B (0.420, 0.050, 0.750)
B (0.441, 0.550, 0.250)
B (0.559, 0.450, 0.750)
B (0.580, 0.950, 0.250)
B (0.631, 0.155, 0.250)
B (0.636, 0.652, 0.750)
B (0.764, 0.055, 0.750)
B (0.829, 0.732, 0.250)
B (0.838, 0.248, 0.750)
B (0.980, 0.150, 0.249)
B (0.989, 0.633, 0.750)
C (0.241, 0.450, 0.750)
C (0.759, 0.550, 0.250)


(9)
Starting from a structure optimized by DFT (GGA-PBE), the X-ray diffraction stick pattern of Na4B7C was calculated for λ = 1.5418 Å (Cu Kα).
Peak positions follow from Bragg's law for the DFT cell and can differ from measured ones.

Most intense lines, 10° ≤ 2θ ≤ 90°, sorted by position:
2θ = 34.7°, intensity 200
2θ = 40.8°, intensity 1000
2θ = 42.1°, intensity 232
2θ = 62.2°, intensity 179
2θ = 76.0°, intensity 122
2θ = 78.0°, intensity 114

Structural model:
Unit cell a=5.965 b=5.965 c=9.089 alpha=99.43 beta=99.43 gamma=119.95
Element x y z (fractional)
Na (0.000, 0.250, 0.000)
Na (0.000, 0.750, 0.000)
Na (0.250, 0.000, 0.500)
Na (0.250, 0.500, 0.500)
Na (0.500, 0.250, 0.000)
Na (0.500, 0.750, 0.000)
Na (0.750, 0.000, 0.500)
Na (0.750, 0.500, 0.500)
B (0.021, 0.448, 0.750)
B (0.041, 0.959, 0.750)
B (0.211, 0.789, 0.750)
B (0.212, 0.298, 0.751)
B (0.298, 0.212, 0.251)
B (0.448, 0.021, 0.250)
B (0.448, 0.552, 0.250)
B (0.552, 0.448, 0.750)
B (0.552, 0.979, 0.750)
B (0.702, 0.788, 0.749)
B (0.788, 0.702, 0.249)
B (0.789, 0.211, 0.250)
B (0.959, 0.041, 0.250)
B (0.979, 0.552, 0.250)
C (0.292, 0.708, 0.250)
C (0.708, 0.292, 0.750)


Question: What is the formula in the seventh record?
Answer: Na10B17C3